# 1
CeCd11Pd: computed powder diffractogram (Cu Kα), based on DFT lattice parameters and positions (GGA-PBE).
Kinematic intensities with the Lorentz-polarization factor, no thermal factor.

Principal peaks in the range 2θ from 15° to 90°, most intense first:
2θ/deg	I/Imax
35.7	100
40.5	43
36.2	37
36.4	29
35.8	27
40.1	26
36.0	23
31.0	22
30.8	21
39.9	19

Structure:
```
CeCd11Pd
1.0
2.843 -7.146 0.000
2.843 7.146 0.000
-2.784 0.000 7.099
Ce Cd Pd
1 11 1
direct
0.000 0.000 0.000
0.000 0.000 0.500
0.000 0.500 0.000
0.020 0.362 0.358
0.296 0.504 0.785
0.362 0.020 0.358
0.496 0.704 0.215
0.500 0.000 0.000
0.504 0.296 0.785
0.638 0.980 0.642
0.704 0.496 0.215
0.980 0.638 0.642
0.500 0.500 0.500
```

---

# 2
AcAgOF2: computed powder diffractogram (Cu Kα), based on DFT lattice parameters and positions (GGA-PBE).
Kinematic intensities with the Lorentz-polarization factor, no thermal factor.

Principal peaks in the range 2θ from 15° to 90°, most intense first:
2θ/deg	I/Imax
26.8	100
27.8	76
42.8	44
34.1	43
39.7	43
43.3	39
25.2	37
27.6	30
17.8	29
61.0	25

Structure:
```
AcAgOF2
1.0
1.833 -6.472 0.000
1.833 6.472 0.000
0.000 0.000 7.773
Ac Ag O F
2 2 2 4
direct
0.215 0.785 0.750
0.785 0.215 0.250
0.000 0.000 0.000
0.000 0.000 0.500
0.407 0.593 0.250
0.593 0.407 0.750
0.182 0.818 0.076
0.182 0.818 0.424
0.818 0.182 0.576
0.818 0.182 0.924
```

---

# 3
Sm3YIn3: computed powder diffractogram (Cu Kα), based on DFT lattice parameters and positions (GGA-PBE).
Kinematic intensities with the Lorentz-polarization factor, no thermal factor.

Principal peaks in the range 2θ from 15° to 90°, most intense first:
2θ/deg	I/Imax
29.9	100
35.5	72
60.4	26
49.1	21
47.1	18
63.8	15
73.6	14
62.1	12
42.8	11
89.1	10

Structure:
```
Sm3YIn3
1.0
9.453 0.000 0.000
0.000 9.453 0.000
0.000 0.000 9.453
Sm Y In
12 4 12
direct
0.071 0.429 0.571
0.173 0.827 0.327
0.175 0.175 0.175
0.325 0.825 0.675
0.327 0.173 0.827
0.429 0.571 0.071
0.571 0.071 0.429
0.673 0.673 0.673
0.675 0.325 0.825
0.825 0.675 0.325
0.827 0.327 0.173
0.929 0.929 0.929
0.075 0.575 0.925
0.425 0.425 0.425
0.575 0.925 0.075
0.925 0.075 0.575
0.002 0.253 0.870
0.130 0.502 0.247
0.247 0.130 0.502
0.253 0.870 0.002
0.370 0.498 0.747
0.498 0.747 0.370
0.502 0.247 0.130
0.630 0.998 0.753
0.747 0.370 0.498
0.753 0.630 0.998
0.870 0.002 0.253
0.998 0.753 0.630
```